No. 1
Calculated PXRD pattern
Compound: KLaP2Se6
Radiation: a wavelength of 1.5418 Å
Structure: DFT lattice parameters and positions (PBE)

Crystal structure
```
40
Lattice="12.6414 0.0000 0.0000 0.0000 7.9459 0.0000 -3.9895 0.0000 11.3323" Properties=species:S:1:pos:R:3 pbc="T T T"
K 0.1316 0.6990 4.2359
K -1.8631 3.2739 9.9020
K 10.5151 4.6720 1.4303
K 8.5203 7.2468 7.0964
La 2.0589 4.7937 6.7590
La 4.0537 7.1251 1.0928
La 4.5983 0.8207 10.2394
La 6.5930 3.1522 4.5733
P 1.6002 4.8970 3.0328
P -0.3946 7.0218 8.6989
P 1.0996 0.7693 8.5360
P 3.0943 3.2036 2.8698
P 5.5577 4.7423 8.4625
P 7.5524 7.1765 2.7963
P 9.0465 0.9241 2.6334
P 7.0518 3.0488 8.2995
Se -0.0697 4.1270 4.2187
Se -2.0645 7.7918 9.8848
Se 1.3000 5.6612 0.9793
Se -0.6947 6.2576 6.6454
Se 2.1707 1.6828 1.5782
Se 0.1760 2.2902 7.2444
Se 0.7098 5.4768 9.8145
Se 2.7045 6.4420 4.1484
Se 1.4741 1.5064 10.5948
Se 3.4689 2.4665 4.9286
Se 4.9310 4.1886 2.0664
Se 2.9363 7.7302 7.7325
Se 5.7156 0.2157 3.5998
Se 3.7209 3.7573 9.2659
Se 5.1831 5.4793 6.4036
Se 7.1778 6.4395 0.7375
Se 5.9474 1.5038 7.1839
Se 7.9422 2.4691 1.5178
Se 8.4759 5.6557 4.0879
Se 6.4812 6.2631 9.7541
Se 9.3467 1.6883 4.6869
Se 7.3519 2.2847 10.3530
Se 10.7164 0.1541 1.4475
Se 8.7217 3.8188 7.1136
```

Main lines, low angle first (2θ from 15° to 90°):
Position (°2θ), intensity, h k l
27.45, 26, 2 1 2
28.65, 100, 2 2 -2
29.31, 28, 1 1 3
29.98, 26, 4 0 0
30.98, 63, 4 1 -2
31.57, 36, 0 0 4
33.81, 30, 2 2 2
34.65, 25, 3 2 1
35.40, 23, 4 1 1
35.74, 34, 4 0 -4

---

No. 2
Calculated PXRD pattern
Compound: K2La2Sb2S9
Radiation: a wavelength of 1.5418 Å
Structure: DFT lattice parameters and positions (PBE)

Crystal structure
```
30
Lattice="11.3279 0.0000 0.0000 0.0000 17.0795 0.0000 0.0000 0.0000 4.1358" Properties=species:S:1:pos:R:3 pbc="T T T"
K 2.4731 0.9812 0.0000
K 3.1908 9.5210 0.0000
K 8.1370 7.5585 0.0000
K 8.8548 16.0983 0.0000
La 1.3193 13.5732 0.0000
La 4.3446 5.0334 0.0000
La 6.9832 12.0461 0.0000
La 10.0086 3.5064 0.0000
Sb 0.5946 6.5547 2.0679
Sb 5.0693 15.0944 2.0679
Sb 6.2585 1.9851 2.0679
Sb 10.7333 10.5248 2.0679
S 0.0000 8.5398 0.0000
S 0.0960 2.0636 2.0679
S 1.2922 4.9223 0.0000
S 1.6938 11.4857 2.0679
S 1.9389 15.5741 2.0679
S 3.7250 7.0344 2.0679
S 3.9702 2.9459 2.0679
S 4.3717 13.4621 0.0000
S 5.5679 10.6034 2.0679
S 5.6639 0.0000 0.0000
S 5.7600 6.4762 2.0679
S 6.9562 3.6175 0.0000
S 7.3577 14.1336 2.0679
S 7.6028 10.0451 2.0679
S 9.3890 1.5054 2.0679
S 9.6341 5.5938 2.0679
S 10.0356 12.1572 0.0000
S 11.2318 15.0159 2.0679
```

Main lines, low angle first (2θ from 15° to 90°):
Position (°2θ), intensity, h k l
16.49, 37, 2 1 0
22.14, 36, 2 3 0
25.80, 58, 3 2 0
27.23, 48, 1 5 0
27.80, 55, 1 3 1
30.08, 100, 0 4 1
31.12, 92, 1 4 1
33.33, 35, 4 2 0
43.78, 44, 0 0 2
45.54, 51, 3 6 1

---

No. 3
Calculated PXRD pattern
Compound: KLaSiS4
Radiation: a wavelength of 1.5418 Å
Structure: DFT lattice parameters and positions (PBE)

Crystal structure
```
14
Lattice="6.6439 0.0000 0.0000 0.0000 6.6427 0.0000 -2.5506 0.0000 8.4763" Properties=species:S:1:pos:R:3 pbc="T T T"
K 0.3996 1.6607 3.6767
K 3.6937 4.9820 4.7995
La -0.6487 1.6607 8.0340
La 4.7420 4.9820 0.4422
Si 1.4253 4.9820 1.5485
Si 2.6680 1.6607 6.9278
S -0.2573 4.9820 2.8257
S -1.6875 4.9820 7.9571
S 2.7163 0.0070 1.8808
S 2.7163 3.3144 1.8808
S 1.3770 3.3283 6.5954
S 1.3770 6.6357 6.5954
S 5.7808 1.6607 0.5191
S 4.3507 1.6607 5.6505
```

Main lines, low angle first (2θ from 15° to 90°):
Position (°2θ), intensity, h k l
19.32, 97, 1 1 0
26.84, 83, 0 2 0
29.87, 79, 2 0 -2
31.56, 100, 1 1 2
32.83, 84, 2 1 -2
34.30, 70, 0 2 2
34.70, 65, 1 2 -2
38.44, 66, 1 0 3
39.21, 80, 2 2 0
40.82, 61, 1 0 -4

---

No. 4
Calculated PXRD pattern
Compound: KLaSiS4
Radiation: a wavelength of 1.5418 Å
Structure: DFT lattice parameters and positions (PBE)

Crystal structure
```
14
Lattice="6.6431 0.0000 0.0000 0.0000 6.7329 0.0000 -2.6163 0.0000 8.3933" Properties=species:S:1:pos:R:3 pbc="T T T"
K 0.3831 0.0000 3.6421
K 3.6437 3.3665 4.7511
La -0.7030 0.1066 7.9511
La 4.7298 3.4731 0.4422
Si 1.4176 3.2785 1.5439
Si 2.6092 6.6450 6.8493
S -0.2570 3.2717 2.8173
S -1.7836 3.0355 7.8929
S 2.5961 5.0376 1.8077
S 1.2305 5.0664 6.4655
S 2.7964 1.6999 1.9278
S 1.4307 1.6712 6.5855
S 5.8104 6.4019 0.5004
S 4.2838 6.6382 5.5759
```

Main lines, low angle first (2θ from 15° to 90°):
Position (°2θ), intensity, h k l
16.88, 65, 0 1 1
19.23, 100, 1 1 0
26.48, 77, 0 2 0
29.83, 75, 2 0 -2
31.77, 98, 1 1 2
32.73, 73, 2 1 -2
34.14, 66, 0 2 2
34.45, 66, 1 2 -2
39.02, 80, 2 2 0
41.11, 67, 1 0 -4